[1]
Calculated powder X-ray diffraction pattern of CsAc3 for a wavelength of 1.5418 Å, from a crystal structure in the Materials Project, relaxed with PBE.
Peak positions follow from Bragg's law for the DFT cell and can differ from measured ones.

Top 10 peaks for 15 to 90 degrees two-theta, low angle first:
3.653 Å, I 23; 3.280 Å, I 24; 3.192 Å, I 100; 2.440 Å, I 17; 2.109 Å, I 21; 1.876 Å, I 23; 1.774 Å, I 25; 1.760 Å, I 18; 1.351 Å, I 15; 1.167 Å, I 9

```
CsAc3
1.0
8.4366 0.0000 0.0000
-4.2183 7.3063 0.0000
0.0000 0.0000 6.5592
Cs Ac
2 6
direct
0.3333 0.6667 0.2500
0.6667 0.3333 0.7500
0.1596 0.3192 0.7500
0.1596 0.8404 0.7500
0.3192 0.1596 0.2500
0.6808 0.8404 0.7500
0.8404 0.1596 0.2500
0.8404 0.6808 0.2500
```

[2]
Calculated powder X-ray diffraction pattern of Cs3Ac for a wavelength of 1.5418 Å, from a crystal structure in the Materials Project, relaxed with PBE.
Peak positions follow from Bragg's law for the DFT cell and can differ from measured ones.

Top 10 peaks for 15 to 90 degrees two-theta, low angle first:
4.020 Å, I 100; 3.482 Å, I 53; 2.462 Å, I 41; 2.100 Å, I 52; 2.010 Å, I 15; 1.598 Å, I 22; 1.557 Å, I 20; 1.421 Å, I 15; 1.340 Å, I 17; 1.177 Å, I 17

```
Cs3Ac
1.0
6.9634 0.0000 0.0000
0.0000 6.9634 0.0000
0.0000 0.0000 6.9634
Cs Ac
3 1
direct
0.0000 0.0000 0.5000
0.0000 0.5000 0.0000
0.5000 0.0000 0.0000
0.5000 0.5000 0.5000
```

[3]
Calculated powder X-ray diffraction pattern of CsAc3 for a wavelength of 1.5418 Å, from a crystal structure in the Materials Project, relaxed with PBE.
Peak positions follow from Bragg's law for the DFT cell and can differ from measured ones.

Top 10 peaks for 15 to 90 degrees two-theta, low angle first:
3.351 Å, I 100; 2.902 Å, I 52; 2.052 Å, I 39; 1.750 Å, I 48; 1.676 Å, I 14; 1.451 Å, I 7; 1.332 Å, I 20; 1.298 Å, I 18; 1.185 Å, I 14; 1.117 Å, I 16

```
CsAc3
1.0
5.8045 0.0000 0.0000
0.0000 5.8045 0.0000
0.0000 0.0000 5.8045
Cs Ac
1 3
direct
0.0000 0.0000 0.0000
0.0000 0.5000 0.5000
0.5000 0.0000 0.5000
0.5000 0.5000 0.0000
```

[4]
Calculated powder X-ray diffraction pattern of Cs3Ac for a wavelength of 1.5418 Å, from a crystal structure in the Materials Project, relaxed with PBE.
Peak positions follow from Bragg's law for the DFT cell and can differ from measured ones.

Top 10 peaks for 15 to 90 degrees two-theta, low angle first:
3.878 Å, I 100; 2.742 Å, I 20; 2.239 Å, I 46; 1.939 Å, I 15; 1.734 Å, I 21; 1.466 Å, I 24; 1.293 Å, I 12; 1.226 Å, I 7; 1.169 Å, I 6; 1.120 Å, I 5

```
Cs3Ac
1.0
0.0000 5.4845 5.4845
5.4845 0.0000 5.4845
5.4845 5.4845 0.0000
Cs Ac
3 1
direct
0.0000 0.0000 0.0000
0.2500 0.2500 0.2500
0.7500 0.7500 0.7500
0.5000 0.5000 0.5000
```

[5]
Calculated powder X-ray diffraction pattern of CsLiAcO3 for a wavelength of 1.5418 Å, from a crystal structure in the Materials Project, relaxed with PBE.
Peak positions follow from Bragg's law for the DFT cell and can differ from measured ones.

Top 10 peaks for 15 to 90 degrees two-theta, low angle first:
3.549 Å, I 100; 3.329 Å, I 45; 2.702 Å, I 19; 2.354 Å, I 26; 2.098 Å, I 26; 1.962 Å, I 40; 1.775 Å, I 21; 1.682 Å, I 12; 1.369 Å, I 13; 1.304 Å, I 12

```
CsLiAcO3
1.0
4.7077 0.0000 0.0000
0.0000 4.7077 0.0000
0.0000 0.0000 5.4034
Cs Li Ac O
1 1 1 3
direct
0.0000 0.0000 0.0000
0.0000 0.0000 0.5000
0.5000 0.5000 0.5000
0.0000 0.5000 0.5000
0.5000 0.0000 0.5000
0.5000 0.5000 0.0000
```

[6]
Calculated powder X-ray diffraction pattern of CsLiAcO3 for a wavelength of 1.5418 Å, from a crystal structure in the Materials Project, relaxed with PBE.
Peak positions follow from Bragg's law for the DFT cell and can differ from measured ones.

Top 10 peaks for 15 to 90 degrees two-theta, low angle first:
4.872 Å, I 45; 3.654 Å, I 83; 3.268 Å, I 100; 2.436 Å, I 44; 2.283 Å, I 57; 1.953 Å, I 31; 1.887 Å, I 22; 1.813 Å, I 21; 1.624 Å, I 20; 1.152 Å, I 21

```
CsLiAcO3
1.0
3.2679 1.8867 3.1904
-3.2679 1.8867 3.1904
0.0000 -3.7735 3.1904
Cs Li Ac O
1 1 1 3
direct
0.0000 0.0000 0.0000
0.3119 0.3119 0.3119
0.5967 0.5967 0.5967
0.0903 0.5532 0.5532
0.5532 0.0903 0.5532
0.5532 0.5532 0.0903
```

[7]
Calculated powder X-ray diffraction pattern of AcCu3 for a wavelength of 1.5418 Å, from a crystal structure in the Materials Project, relaxed with PBE.
Peak positions follow from Bragg's law for the DFT cell and can differ from measured ones.

Top 10 peaks for 15 to 90 degrees two-theta, low angle first:
3.433 Å, I 62; 3.332 Å, I 40; 2.886 Å, I 25; 2.391 Å, I 100; 2.181 Å, I 22; 2.135 Å, I 20; 1.798 Å, I 15; 1.526 Å, I 14; 1.499 Å, I 28; 1.277 Å, I 13

```
AcCu3
1.0
6.6641 0.0000 0.0000
-3.3321 5.7713 0.0000
0.0000 0.0000 4.2705
Ac Cu
2 6
direct
0.3333 0.6667 0.2500
0.6667 0.3333 0.7500
0.1257 0.2514 0.7500
0.1257 0.8743 0.7500
0.2514 0.1257 0.2500
0.7486 0.8743 0.7500
0.8743 0.1257 0.2500
0.8743 0.7486 0.2500
```

[8]
Calculated powder X-ray diffraction pattern of AcCuO2F for a wavelength of 1.5418 Å, from a crystal structure in the Materials Project, relaxed with PBE.
Peak positions follow from Bragg's law for the DFT cell and can differ from measured ones.

Top 10 peaks for 15 to 90 degrees two-theta, low angle first:
4.089 Å, I 15; 3.993 Å, I 28; 2.857 Å, I 100; 2.824 Å, I 54; 2.324 Å, I 31; 2.044 Å, I 16; 1.997 Å, I 28; 1.656 Å, I 23; 1.637 Å, I 42; 1.428 Å, I 18

```
AcCuO2F
1.0
-2.8238 2.8238 4.0890
2.8238 -2.8238 4.0890
2.8238 2.8238 -4.0890
Ac Cu O F
2 2 4 2
direct
0.2500 0.7500 0.5000
0.7500 0.2500 0.5000
0.0000 0.0000 0.0000
0.5000 0.5000 0.0000
0.2046 0.7046 0.9092
0.2954 0.2046 0.5000
0.7046 0.7954 0.5000
0.7954 0.2954 0.0908
0.2500 0.2500 0.0000
0.7500 0.7500 0.0000
```

[9]
Calculated powder X-ray diffraction pattern of Ac2CuRu for a wavelength of 1.5418 Å, from a crystal structure in the Materials Project, relaxed with PBE.
Peak positions follow from Bragg's law for the DFT cell and can differ from measured ones.

Top 10 peaks for 15 to 90 degrees two-theta, low angle first:
3.724 Å, I 23; 2.633 Å, I 100; 2.150 Å, I 7; 1.862 Å, I 18; 1.665 Å, I 10; 1.520 Å, I 38; 1.317 Å, I 12; 1.241 Å, I 5; 1.178 Å, I 16; 1.123 Å, I 3

```
Ac2CuRu
1.0
0.0000 3.7240 3.7240
3.7240 0.0000 3.7240
3.7240 3.7240 0.0000
Ac Cu Ru
2 1 1
direct
0.2500 0.2500 0.2500
0.7500 0.7500 0.7500
0.0000 0.0000 0.0000
0.5000 0.5000 0.5000
```

[10]
Calculated powder X-ray diffraction pattern of Ac3Dy for a wavelength of 1.5418 Å, from a crystal structure in the Materials Project, relaxed with PBE.
Peak positions follow from Bragg's law for the DFT cell and can differ from measured ones.

Top 10 peaks for 15 to 90 degrees two-theta, low angle first:
3.175 Å, I 100; 2.754 Å, I 34; 2.741 Å, I 17; 1.948 Å, I 13; 1.943 Å, I 26; 1.660 Å, I 31; 1.654 Å, I 16; 1.588 Å, I 14; 1.261 Å, I 13; 1.231 Å, I 12

```
Ac3Dy
1.0
-2.7544 2.7544 5.4811
2.7544 -2.7544 5.4811
2.7544 2.7544 -5.4811
Ac Dy
3 1
direct
0.0000 0.0000 0.0000
0.2500 0.7500 0.5000
0.7500 0.2500 0.5000
0.5000 0.5000 0.0000
```

[11]
Calculated powder X-ray diffraction pattern of Ac3Dy for a wavelength of 1.5418 Å, from a crystal structure in the Materials Project, relaxed with PBE.
Peak positions follow from Bragg's law for the DFT cell and can differ from measured ones.

Top 10 peaks for 15 to 90 degrees two-theta, low angle first:
3.377 Å, I 23; 3.175 Å, I 26; 2.981 Å, I 100; 2.313 Å, I 17; 1.950 Å, I 20; 1.793 Å, I 24; 1.661 Å, I 25; 1.632 Å, I 17; 1.251 Å, I 15; 1.093 Å, I 10

```
Ac3Dy
1.0
7.7986 0.0000 0.0000
-3.8993 6.7538 0.0000
0.0000 0.0000 6.3497
Ac Dy
6 2
direct
0.1695 0.3390 0.2500
0.1695 0.8305 0.2500
0.3390 0.1695 0.7500
0.6610 0.8305 0.2500
0.8305 0.1695 0.7500
0.8305 0.6610 0.7500
0.3333 0.6667 0.7500
0.6667 0.3333 0.2500
```

[12]
Calculated powder X-ray diffraction pattern of Ac3Er for a wavelength of 1.5418 Å, from a crystal structure in the Materials Project, relaxed with PBE.
Peak positions follow from Bragg's law for the DFT cell and can differ from measured ones.

Top 10 peaks for 15 to 90 degrees two-theta, low angle first:
3.385 Å, I 23; 3.129 Å, I 25; 2.977 Å, I 100; 2.298 Å, I 16; 1.954 Å, I 20; 1.776 Å, I 23; 1.658 Å, I 25; 1.634 Å, I 18; 1.253 Å, I 15; 1.091 Å, I 10

```
Ac3Er
1.0
7.8168 0.0000 0.0000
-3.9084 6.7696 0.0000
0.0000 0.0000 6.2584
Ac Er
6 2
direct
0.1696 0.3393 0.2500
0.1696 0.8304 0.2500
0.3393 0.1696 0.7500
0.6607 0.8304 0.2500
0.8304 0.1696 0.7500
0.8304 0.6607 0.7500
0.3333 0.6667 0.7500
0.6667 0.3333 0.2500
```

[13]
Calculated powder X-ray diffraction pattern of AcEr3 for a wavelength of 1.5418 Å, from a crystal structure in the Materials Project, relaxed with PBE.
Peak positions follow from Bragg's law for the DFT cell and can differ from measured ones.

Top 10 peaks for 15 to 90 degrees two-theta, low angle first:
5.140 Å, I 2; 3.635 Å, I 1; 2.968 Å, I 100; 2.570 Å, I 51; 1.817 Å, I 37; 1.550 Å, I 44; 1.484 Å, I 13; 1.285 Å, I 6; 1.179 Å, I 18; 1.149 Å, I 17

```
AcEr3
1.0
5.1404 0.0000 0.0000
0.0000 5.1404 0.0000
0.0000 0.0000 5.1404
Ac Er
1 3
direct
0.0000 0.0000 0.0000
0.0000 0.5000 0.5000
0.5000 0.0000 0.5000
0.5000 0.5000 0.0000
```

[14]
Calculated powder X-ray diffraction pattern of Ac3Er for a wavelength of 1.5418 Å, from a crystal structure in the Materials Project, relaxed with PBE.
Peak positions follow from Bragg's law for the DFT cell and can differ from measured ones.

Top 10 peaks for 15 to 90 degrees two-theta, low angle first:
3.177 Å, I 100; 2.761 Å, I 35; 2.732 Å, I 17; 1.952 Å, I 13; 1.942 Å, I 26; 1.663 Å, I 32; 1.651 Å, I 15; 1.589 Å, I 14; 1.261 Å, I 13; 1.125 Å, I 9

```
Ac3Er
1.0
-2.7611 2.7611 5.4647
2.7611 -2.7611 5.4647
2.7611 2.7611 -5.4647
Ac Er
3 1
direct
0.0000 0.0000 0.0000
0.2500 0.7500 0.5000
0.7500 0.2500 0.5000
0.5000 0.5000 0.0000
```

[15]
Calculated powder X-ray diffraction pattern of AcEu3 for a wavelength of 1.5418 Å, from a crystal structure in the Materials Project, relaxed with PBE.
Peak positions follow from Bragg's law for the DFT cell and can differ from measured ones.

Top 10 peaks for 15 to 90 degrees two-theta, low angle first:
3.464 Å, I 23; 3.221 Å, I 26; 3.051 Å, I 100; 2.359 Å, I 17; 2.000 Å, I 20; 1.825 Å, I 23; 1.699 Å, I 24; 1.673 Å, I 17; 1.283 Å, I 15; 1.118 Å, I 10

```
AcEu3
1.0
7.9999 0.0000 0.0000
-4.0000 6.9281 0.0000
0.0000 0.0000 6.4412
Ac Eu
2 6
direct
0.3333 0.6667 0.2500
0.6667 0.3333 0.7500
0.1674 0.3348 0.7500
0.1674 0.8326 0.7500
0.3348 0.1674 0.2500
0.6652 0.8326 0.7500
0.8326 0.1674 0.2500
0.8326 0.6652 0.2500
```

[16]
Calculated powder X-ray diffraction pattern of AcF3 for a wavelength of 1.5418 Å, from a crystal structure in the Materials Project, relaxed with PBE.
Peak positions follow from Bragg's law for the DFT cell and can differ from measured ones.

Top 10 peaks for 15 to 90 degrees two-theta, low angle first:
3.464 Å, I 100; 3.447 Å, I 25; 2.833 Å, I 30; 2.189 Å, I 57; 2.003 Å, I 22; 1.993 Å, I 23; 1.733 Å, I 45; 1.413 Å, I 16; 1.311 Å, I 13; 1.189 Å, I 15

```
AcF3
1.0
-2.0033 2.0033 3.4467
2.0033 -2.0033 3.4467
2.0033 2.0033 -3.4467
Ac F
1 3
direct
0.0000 0.0000 0.0000
0.2500 0.7500 0.5000
0.5000 0.5000 0.0000
0.7500 0.2500 0.5000
```